[1]
Computed powder diffraction line list
Compound: LiAcNdO4
Radiation: Cu Kα (λ = 1.5418 Å)
Structure: DFT lattice parameters and positions (PBE)

Crystal structure
```
data_LiAcNdO4
_cell_length_a 5.005
_cell_length_b 13.302
_cell_length_c 5.637
_cell_angle_alpha 90.00
_cell_angle_beta 90.00
_cell_angle_gamma 90.00
_symmetry_space_group_name_H-M 'C m c m'
_symmetry_Int_Tables_number 63
_symmetry_space_group_name_Hall '-C 2c 2'
loop_
_atom_site_label
_atom_site_type_symbol
_atom_site_fract_x
_atom_site_fract_y
_atom_site_fract_z
_atom_site_occupancy
Li1 Li 0.000 0.237 0.250 1
Ac1 Ac 0.000 0.111 0.750 1
Nd1 Nd 0.000 0.382 0.750 1
O1 O 0.000 0.078 0.250 1
O2 O 0.000 0.440 0.250 1
O3 O 0.250 0.250 0.000 1
```

Peak list (10 most intense, 2θ from 10° to 90°, most intense first)
- (1 1 1), 2θ = 24.71°, I 100
- (1 3 1), 2θ = 31.28°, I 91
- (0 4 0), 2θ = 26.81°, I 43
- (0 4 2), 2θ = 42.02°, I 38
- (0 0 2), 2θ = 31.75°, I 38
- (2 0 2), 2θ = 48.66°, I 32
- (2 4 0), 2θ = 45.36°, I 30
- (1 7 1), 2θ = 54.13°, I 30
- (2 0 0), 2θ = 35.89°, I 28
- (2 4 2), 2θ = 56.42°, I 23

---

[2]
Computed powder diffraction line list
Compound: Li2AcNdSn2
Radiation: Cu Kα (λ = 1.5418 Å)
Structure: DFT lattice parameters and positions (PBE)

Crystal structure
```
data_Li2AcNdSn2
_cell_length_a 4.8501
_cell_length_b 4.8501
_cell_length_c 8.0603
_cell_angle_alpha 90.00
_cell_angle_beta 90.00
_cell_angle_gamma 120.00
_symmetry_space_group_name_H-M 'P -3 m 1'
_symmetry_Int_Tables_number 164
_symmetry_space_group_name_Hall '-P 3 2"'
loop_
_atom_site_label
_atom_site_type_symbol
_atom_site_fract_x
_atom_site_fract_y
_atom_site_fract_z
_atom_site_occupancy
Li1 Li 0.3333 0.6667 0.2018 1
Ac1 Ac 0.0000 0.0000 0.5000 1
Nd1 Nd 0.0000 0.0000 0.0000 1
Sn1 Sn 0.3333 0.6667 0.7697 1
```

Peak list (10 most intense, 2θ from 10° to 90°, most intense first)
- (1 0 2), 2θ = 30.75°, I 100
- (1 1 0), 2θ = 37.07°, I 49
- (0 1 1), 2θ = 23.89°, I 38
- (1 0 0), 2θ = 21.15°, I 30
- (0 2 2), 2θ = 48.90°, I 28
- (2 1 2), 2θ = 62.92°, I 27
- (1 1 4), 2θ = 59.66°, I 22
- (1 3 2), 2θ = 87.08°, I 11
- (1 0 6), 2θ = 74.11°, I 10
- (3 0 0), 2θ = 66.82°, I 9